Starting from the GGA-PBE geometry in Alexandria, the powder diffraction line list of Lu2PdSe was calculated for Cu Ka.
Peak positions follow from Bragg's law for the DFT cell and can differ from measured ones.

Atomic structure:
```
data_Lu2PdSe
_space_group_name_H-M_alt 'P 1'
_space_group_IT_number 1
_cell_length_a 9.150
_cell_length_b 9.150
_cell_length_c 9.150
_cell_angle_alpha 22.53
_cell_angle_beta 22.53
_cell_angle_gamma 22.53
loop_
_space_group_symop_operation_xyz
'x,y,z'
loop_
_atom_site_label
_atom_site_type_symbol
_atom_site_fract_x
_atom_site_fract_y
_atom_site_fract_z
Lu1 Lu 0.096 0.096 0.096
Lu2 Lu 0.904 0.904 0.904
Pd1 Pd 0.000 0.000 0.000
Se1 Se 0.500 0.500 0.500
```

Largest 10 diffraction maxima, in order of rising 2θ, 2θ = 10–90°:
two_theta	d (Å)	Rel. int.
29.0	3.075	100
29.6	3.016	94
30.1	2.972	21
33.4	2.679	70
39.7	2.271	24
44.8	2.024	86
47.6	1.912	33
51.1	1.787	61
67.1	1.394	27
70.3	1.340	23